1.
For Ti2FeCo2, a GGA-PBE-relaxed structure gives the computed X-ray diffraction stick pattern in this record (Cu Kα (weighted mean of Kα1 and Kα2)).
Neutral-atom scattering factors, no anomalous dispersion.

Cell and atoms:
Cell lengths 3.9355, 12.1297, 2.7833 Å; angles 90.00, 90.00, 90.00 degrees
Space group Cmmm (No. 65)
Symmetry-distinct sites (fractional):
Ti: 0.0000 0.1266 0.0000
Fe: 0.0000 0.5000 0.5000
Co: 0.0000 0.3104 0.5000

Main lines, by angle (10° ≤ 2θ ≤ 90°):
Position (°2θ), d/Å, I_rel, (hkl)
32.16, 2.783, 13, 0 0 1
40.38, 2.234, 100, 1 1 1
43.84, 2.065, 77, 1 5 0
44.17, 2.050, 33, 0 4 1
44.83, 2.022, 13, 0 6 0
45.80, 1.981, 35, 1 3 1
46.13, 1.968, 44, 2 0 0
55.40, 1.658, 17, 1 5 1
65.78, 1.420, 18, 2 4 1
83.83, 1.154, 30, 3 5 0



2.
For TmFeCo3, a GGA-PBE-relaxed structure gives the computed X-ray diffraction stick pattern in this record (Cu Kα (weighted mean of Kα1 and Kα2)).
Neutral-atom scattering factors, no anomalous dispersion.

Cell and atoms:
Cell lengths 5.8480, 6.6314, 7.6613 Å; angles 90.00, 90.00, 90.00 degrees
Space group Immm (No. 71)
Symmetry-distinct sites (fractional):
Tm: 0.0000 0.0000 0.2293
Fe: 0.0000 0.3413 0.5000
Co: 0.0000 0.5000 0.2265
Co: 0.1952 0.3275 0.0000

Main lines, by angle (10° ≤ 2θ ≤ 90°):
Position (°2θ), d/Å, I_rel, (hkl)
26.89, 3.316, 19, 0 2 0
30.57, 2.924, 28, 2 0 0
31.00, 2.885, 70, 1 1 2
35.82, 2.507, 100, 0 2 2
38.74, 2.324, 54, 2 0 2
41.16, 2.193, 46, 2 2 0
43.78, 2.068, 24, 1 3 0
47.49, 1.915, 39, 0 0 4
47.79, 1.903, 33, 2 2 2
64.61, 1.442, 27, 2 4 0



3.
For Tm3Fe8Co, a GGA-PBE-relaxed structure gives the computed X-ray diffraction stick pattern in this record (Cu Kα (weighted mean of Kα1 and Kα2)).
Neutral-atom scattering factors, no anomalous dispersion.

Cell and atoms:
Cell lengths 4.9984, 4.9984, 24.4496 Å; angles 90.00, 90.00, 120.00 degrees
Space group R3m (No. 160, hexagonal axes)
Symmetry-distinct sites (fractional):
Tm: 0.0000 0.0000 0.0000
Tm: 0.0000 0.0000 0.1284
Tm: 0.0000 0.0000 0.5100
Fe: 0.0000 0.0000 0.3164
Fe: 0.0000 0.0000 0.8166
Fe: 0.1670 0.3340 0.9018
Fe: 0.1682 0.3363 0.3977
Co: 0.0000 0.0000 0.6311

Main lines, by angle (10° ≤ 2θ ≤ 90°):
Position (°2θ), d/Å, I_rel, (hkl)
21.79, 4.079, 14, 0 1 2
27.52, 3.241, 5, 0 1 5
32.95, 2.718, 4, 1 0 7
35.95, 2.498, 62, 1 1 0
42.43, 2.130, 100, 2 0 2
44.42, 2.040, 16, 0 2 4
64.63, 1.442, 22, 3 0 0
69.07, 1.360, 27, 2 1 10
76.23, 1.249, 21, 2 2 0
87.28, 1.117, 9, 3 1 8



4.
For Tm2Fe5Co12, a GGA-PBE-relaxed structure gives the computed X-ray diffraction stick pattern in this record (Cu Kα (weighted mean of Kα1 and Kα2)).
Neutral-atom scattering factors, no anomalous dispersion.

Cell and atoms:
Cell lengths 8.3000, 8.3000, 12.1815 Å; angles 90.00, 90.00, 120.00 degrees
Space group R-3m (No. 166, hexagonal axes)
Symmetry-distinct sites (fractional):
Tm: 0.0000 0.0000 0.1580
Fe: 0.0000 0.0000 0.4039
Fe: 0.0000 0.5000 0.0000
Co: 0.0000 0.2913 0.5000
Co: 0.0039 0.5019 0.6546

Main lines, by angle (10° ≤ 2θ ≤ 90°):
Position (°2θ), d/Å, I_rel, (hkl)
30.81, 2.902, 42, 1 1 3
37.54, 2.396, 42, 3 0 0
38.76, 2.323, 30, 0 2 4
43.62, 2.075, 60, 2 2 0
43.87, 2.064, 100, 0 3 3
44.66, 2.029, 49, 0 0 6
63.59, 1.463, 17, 4 1 3
64.20, 1.451, 25, 2 2 6
80.13, 1.198, 23, 6 0 0
81.71, 1.178, 17, 0 3 9



5.
For Tm8FeCo2, a GGA-PBE-relaxed structure gives the computed X-ray diffraction stick pattern in this record (Cu Kα (weighted mean of Kα1 and Kα2)).
Neutral-atom scattering factors, no anomalous dispersion.

Cell and atoms:
Cell lengths 7.9988, 12.1236, 5.8213 Å; angles 90.00, 109.21, 90.00 degrees
Space group Cm (No. 8)
Symmetry-distinct sites (fractional):
Tm: 0.0000 0.0000 0.0000
Tm: 0.0723 0.3693 0.7757
Tm: 0.1569 0.1293 0.5823
Tm: 0.2140 0.5000 0.3703
Tm: 0.3580 0.2092 0.1895
Fe: 0.3515 0.0000 0.3503
Co: 0.3636 0.3114 0.6760

Main lines, by angle (10° ≤ 2θ ≤ 90°):
Position (°2θ), d/Å, I_rel, (hkl)
28.04, 3.183, 58, 2 2 -1
31.63, 2.828, 97, 1 1 -2
31.98, 2.798, 99, 1 3 1
32.90, 2.723, 97, 2 0 1
33.77, 2.654, 100, 0 4 1
34.76, 2.581, 87, 3 1 -1
35.87, 2.503, 47, 0 2 2
38.08, 2.363, 61, 2 4 0
40.83, 2.210, 93, 1 5 -1
56.29, 1.634, 57, 3 3 -3



6.
For TmFeCo10, a GGA-PBE-relaxed structure gives the computed X-ray diffraction stick pattern in this record (Cu Kα (weighted mean of Kα1 and Kα2)).
Neutral-atom scattering factors, no anomalous dispersion.

Cell and atoms:
Cell lengths 4.0202, 4.7103, 8.2334 Å; angles 90.00, 90.00, 90.00 degrees
Space group Pmmm (No. 47)
Symmetry-distinct sites (fractional):
Tm: 0.0000 0.0000 0.0000
Fe: 0.0000 0.5000 0.5000
Co: 0.0000 0.0000 0.3490
Co: 0.0000 0.5000 0.1979
Co: 0.5000 0.0000 0.5000
Co: 0.5000 0.2510 0.2541
Co: 0.5000 0.5000 0.0000

Main lines, by angle (10° ≤ 2θ ≤ 90°):
Position (°2θ), d/Å, I_rel, (hkl)
31.09, 2.876, 14, 1 0 2
31.20, 2.867, 35, 1 1 1
37.94, 2.371, 19, 0 1 3
43.99, 2.058, 17, 0 0 4
44.34, 2.043, 100, 1 1 3
44.59, 2.032, 41, 1 2 0
45.10, 2.010, 39, 2 0 0
64.80, 1.439, 14, 2 0 4
65.08, 1.433, 15, 2 2 2
73.35, 1.291, 15, 1 3 3



7.
For V2FeCo4, a GGA-PBE-relaxed structure gives the computed X-ray diffraction stick pattern in this record (Cu Kα (weighted mean of Kα1 and Kα2)).
Neutral-atom scattering factors, no anomalous dispersion.

Cell and atoms:
Cell lengths 4.4970, 6.2240, 6.2572 Å; angles 86.69, 81.20, 69.14 degrees
Space group P1 (No. 1)
Symmetry-distinct sites (fractional):
V: 0.0000 0.0000 0.0000
V: 0.1319 0.4053 0.6115
V: 0.5199 0.8380 0.2137
V: 0.7130 0.7913 0.8168
Fe: 0.0417 0.2117 0.3136
Fe: 0.3120 0.6187 0.8174
Co: 0.1427 0.5639 0.1868
Co: 0.3339 0.9863 0.6053
Co: 0.3641 0.2061 0.9639
Co: 0.5520 0.2050 0.3147
Co: 0.6028 0.5612 0.4607
Co: 0.7429 0.1969 0.6729
Co: 0.7520 0.4259 0.0185
Co: 0.9594 0.8439 0.4544

Main lines, by angle (10° ≤ 2θ ≤ 90°):
Position (°2θ), d/Å, I_rel, (hkl)
40.28, 2.239, 55, 1 2 2
43.88, 2.063, 51, 2 0 1
44.65, 2.030, 80, -1 1 2
44.90, 2.019, 59, 1 2 -2
45.32, 2.001, 80, 1 -2 1
45.45, 1.996, 100, 1 3 1
46.54, 1.951, 59, 2 1 2
46.70, 1.945, 49, 0 1 3
46.83, 1.940, 88, 0 1 -3
48.30, 1.884, 53, 2 2 -1



8.
For V4FeCo2, a GGA-PBE-relaxed structure gives the computed X-ray diffraction stick pattern in this record (Cu Kα (weighted mean of Kα1 and Kα2)).
Neutral-atom scattering factors, no anomalous dispersion.

Cell and atoms:
Cell lengths 4.1775, 4.1775, 11.6143 Å; angles 90.00, 90.00, 90.00 degrees
Space group I4/mmm (No. 139)
Symmetry-distinct sites (fractional):
V: 0.0000 0.0000 0.1972
V: 0.0000 0.5000 0.0000
Fe: 0.0000 0.0000 0.0000
Co: 0.0000 0.0000 0.3847

Main lines, by angle (10° ≤ 2θ ≤ 90°):
Position (°2θ), d/Å, I_rel, (hkl)
15.26, 5.807, 48, 0 0 2
30.26, 2.954, 64, 1 1 0
34.05, 2.633, 31, 1 1 2
43.32, 2.089, 100, 2 0 0
43.71, 2.071, 25, 1 1 4
44.64, 2.030, 90, 1 0 5
46.19, 1.965, 10, 2 0 2
62.93, 1.477, 30, 2 2 0
63.95, 1.456, 56, 2 1 5
80.40, 1.194, 14, 3 0 5



9.
For V6Fe3Co, a GGA-PBE-relaxed structure gives the computed X-ray diffraction stick pattern in this record (Cu Kα (weighted mean of Kα1 and Kα2)).
Neutral-atom scattering factors, no anomalous dispersion.

Cell and atoms:
Cell lengths 8.1911, 4.8174, 6.5986 Å; angles 90.00, 109.10, 90.00 degrees
Space group C2/m (No. 12)
Symmetry-distinct sites (fractional):
V: 0.1477 0.0000 0.4237
V: 0.1657 0.2521 0.8023
Fe: 0.0000 0.5000 0.5000
Fe: 0.0923 0.5000 0.1758
Co: 0.0000 0.0000 0.0000

Main lines, by angle (10° ≤ 2θ ≤ 90°):
Position (°2θ), d/Å, I_rel, (hkl)
39.25, 2.295, 38, 1 1 2
41.87, 2.157, 24, 3 1 -2
43.54, 2.078, 26, 0 0 3
44.17, 2.050, 100, 2 2 -1
44.29, 2.045, 32, 2 2 0
45.40, 1.998, 48, 1 1 -3
46.27, 1.962, 45, 3 1 1
46.43, 1.956, 44, 4 0 -2
47.71, 1.906, 32, 0 2 2
49.24, 1.851, 21, 2 2 1



10.
For VFe8Co2, a GGA-PBE-relaxed structure gives the computed X-ray diffraction stick pattern in this record (Cu Kα (weighted mean of Kα1 and Kα2)).
Neutral-atom scattering factors, no anomalous dispersion.

Cell and atoms:
Cell lengths 6.3101, 11.8056, 4.1627 Å; angles 90.00, 119.93, 90.00 degrees
Space group C2/m (No. 12)
Symmetry-distinct sites (fractional):
V: 0.0000 0.0000 0.0000
Fe: 0.0000 0.2031 0.0000
Fe: 0.1070 0.5000 0.8083
Fe: 0.2298 0.1148 0.6588
Co: 0.0000 0.3035 0.5000

Main lines, by angle (10° ≤ 2θ ≤ 90°):
Position (°2θ), d/Å, I_rel, (hkl)
36.21, 2.481, 12, 2 2 0
36.85, 2.439, 13, 1 1 1
39.45, 2.284, 24, 0 4 1
42.94, 2.106, 41, 1 3 1
43.72, 2.071, 55, 3 1 -1
44.28, 2.045, 100, 1 5 -1
45.04, 2.013, 28, 1 1 -2
45.21, 2.006, 39, 2 4 0
47.00, 1.934, 13, 2 2 -2
53.08, 1.725, 12, 0 2 2



11.
For V2Fe2Co3, a GGA-PBE-relaxed structure gives the computed X-ray diffraction stick pattern in this record (Cu Kα (weighted mean of Kα1 and Kα2)).
Neutral-atom scattering factors, no anomalous dispersion.

Cell and atoms:
Cell lengths 2.5290, 5.7231, 6.2214 Å; angles 66.25, 88.29, 78.12 degrees
Space group P-1 (No. 2)
Symmetry-distinct sites (fractional):
V: 0.1891 0.0791 0.1558
Fe: 0.3885 0.7676 0.5595
Co: 0.0714 0.3547 0.7314
Co: 0.5000 0.5000 0.0000

Main lines, by angle (10° ≤ 2θ ≤ 90°):
Position (°2θ), d/Å, I_rel, (hkl)
43.41, 2.084, 50, -1 1 1
43.70, 2.071, 100, 1 2 1
44.31, 2.044, 49, 0 2 -1
49.95, 1.826, 31, 0 3 2
50.35, 1.812, 33, 1 0 2
52.67, 1.738, 27, 1 1 -2
73.88, 1.283, 9, 1 -3 0
75.21, 1.263, 9, 2 1 0
89.03, 1.100, 9, -1 4 3
89.64, 1.094, 16, 2 2 3



12.
For V4Fe2Co3, a GGA-PBE-relaxed structure gives the computed X-ray diffraction stick pattern in this record (Cu Kα (weighted mean of Kα1 and Kα2)).
Neutral-atom scattering factors, no anomalous dispersion.

Cell and atoms:
Cell lengths 4.0429, 4.0429, 7.4779 Å; angles 90.00, 90.00, 120.00 degrees
Space group P-3m1 (No. 164)
Symmetry-distinct sites (fractional):
V: 0.0000 0.0000 0.1584
V: 0.3333 0.6667 0.3895
Fe: 0.3333 0.6667 0.7150
Co: 0.0000 0.0000 0.5000
Co: 0.3333 0.6667 0.0752

Main lines, by angle (10° ≤ 2θ ≤ 90°):
Position (°2θ), d/Å, I_rel, (hkl)
35.11, 2.556, 5, 0 1 2
44.62, 2.031, 98, 1 0 3
44.84, 2.021, 100, 1 1 0
58.19, 1.585, 1, 2 0 2
65.11, 1.433, 28, 0 2 3
76.34, 1.247, 1, 1 2 2
79.76, 1.202, 2, 1 1 5
82.08, 1.174, 12, 0 1 6
82.53, 1.169, 27, 2 1 3
82.68, 1.167, 14, 3 0 0



13.
For FeCo6W, a GGA-PBE-relaxed structure gives the computed X-ray diffraction stick pattern in this record (Cu Kα (weighted mean of Kα1 and Kα2)).
Neutral-atom scattering factors, no anomalous dispersion.

Cell and atoms:
Cell lengths 7.1378, 10.1202, 10.1214 Å; angles 90.00, 90.00, 90.00 degrees
Space group Cmmm (No. 65)
Symmetry-distinct sites (fractional):
Fe: 0.0000 0.0000 0.2481
Fe: 0.0000 0.2523 0.0000
Co: 0.0000 0.0000 0.0000
Co: 0.0000 0.0000 0.5000
Co: 0.0000 0.2483 0.2475
Co: 0.0000 0.5000 0.0000
Co: 0.0000 0.5000 0.5000
Co: 0.2467 0.1266 0.1232
Co: 0.2475 0.1239 0.3739
W: 0.0000 0.2536 0.5000
W: 0.0000 0.5000 0.2487

Main lines, by angle (10° ≤ 2θ ≤ 90°):
Position (°2θ), d/Å, I_rel, (hkl)
15.19, 5.833, 6, 1 1 0
23.27, 3.823, 5, 1 1 2
24.91, 3.575, 12, 2 0 0
31.92, 2.804, 4, 2 2 1
35.51, 2.528, 10, 0 0 4
43.86, 2.064, 100, 2 4 0
51.05, 1.789, 31, 0 4 4
51.19, 1.784, 16, 4 0 0
75.09, 1.265, 9, 0 0 8
75.20, 1.263, 18, 4 4 4